(1)
Pr2Sm2C2I5: computed XRD peak list (Cu Kα, 1.54184 Å), based on DFT lattice parameters and positions (PBE).

Cell and atoms:
```
data_Pr2Sm2C2I5
_chemical_formula_sum 'Pr4 Sm4 C4 I10'
_cell_length_a 20.258
_cell_length_b 4.072
_cell_length_c 8.813
_cell_angle_alpha 90.00
_cell_angle_beta 103.76
_cell_angle_gamma 90.00
_symmetry_space_group_name_H-M 'C 1 2/m 1'
_symmetry_Int_Tables_number 12
loop_
_symmetry_equiv_pos_as_xyz
'x,y,z'
'-x,-y,-z'
'-x,y,-z'
'x,-y,z'
'x+1/2,y+1/2,z'
'-x+1/2,-y+1/2,-z'
'-x+1/2,y+1/2,-z'
'x+1/2,-y+1/2,z'
loop_
_atom_site_label
_atom_site_fract_x
_atom_site_fract_y
_atom_site_fract_z
Pr1 0.000 0.000 0.192
Sm1 0.150 0.500 0.089
C1 0.036 0.500 0.021
I1 0.000 0.500 0.500
I2 0.163 0.000 0.363
I3 0.169 0.000 0.828
```

Peak list (8 most intense, 10° ≤ 2θ ≤ 90°, in order of falling intensity)
Position (°2θ)	I/Imax
29.88	100
27.19	66
41.14	39
40.54	35
29.03	23
26.55	22
52.93	20
31.59	20



(2)
Pr2Tm2CI5: computed XRD peak list (Cu Kα, 1.54184 Å), based on DFT lattice parameters and positions (PBE).

Cell and atoms:
```
data_Pr2Tm2CI5
_chemical_formula_sum 'Pr4 Tm4 C2 I10'
_cell_length_a 18.950
_cell_length_b 3.978
_cell_length_c 8.750
_cell_angle_alpha 90.00
_cell_angle_beta 103.27
_cell_angle_gamma 90.00
_symmetry_space_group_name_H-M 'C 1 2/m 1'
_symmetry_Int_Tables_number 12
loop_
_symmetry_equiv_pos_as_xyz
'x,y,z'
'-x,-y,-z'
'-x,y,-z'
'x,-y,z'
'x+1/2,y+1/2,z'
'-x+1/2,-y+1/2,-z'
'-x+1/2,y+1/2,-z'
'x+1/2,-y+1/2,z'
loop_
_atom_site_label
_atom_site_fract_x
_atom_site_fract_y
_atom_site_fract_z
Pr1 0.138 0.000 0.069
Tm1 0.000 0.500 0.183
C1 0.000 0.000 0.000
I1 0.000 0.000 0.500
I2 0.160 0.500 0.356
I3 0.165 0.500 0.804
```

Peak list (8 most intense, 10° ≤ 2θ ≤ 90°, in order of falling intensity)
Position (°2θ)	I/Imax
30.37	100
42.52	59
29.05	55
33.03	35
29.93	29
27.44	26
35.15	23
10.39	21



(3)
Pu2C2I: computed XRD peak list (Cu Kα, 1.54184 Å), based on DFT lattice parameters and positions (PBE).

Cell and atoms:
```
data_Pu2C2I
_chemical_formula_sum 'Pu8 C8 I4'
_cell_length_a 15.439
_cell_length_b 4.101
_cell_length_c 6.507
_cell_angle_alpha 90.00
_cell_angle_beta 99.45
_cell_angle_gamma 90.00
_symmetry_space_group_name_H-M 'C 1 2/c 1'
_symmetry_Int_Tables_number 15
loop_
_symmetry_equiv_pos_as_xyz
'x,y,z'
'-x,-y,-z'
'-x,y,-z+1/2'
'x,-y,z+1/2'
'x+1/2,y+1/2,z'
'-x+1/2,-y+1/2,-z'
'-x+1/2,y+1/2,-z+1/2'
'x+1/2,-y+1/2,z+1/2'
loop_
_atom_site_label
_atom_site_fract_x
_atom_site_fract_y
_atom_site_fract_z
Pu1 0.160 0.183 0.154
C1 0.225 0.380 0.527
I1 0.000 0.294 0.750
```

Peak list (8 most intense, 10° ≤ 2θ ≤ 90°, in order of falling intensity)
Position (°2θ)	I/Imax
29.97	100
32.61	55
35.36	40
47.44	38
31.99	36
26.96	32
58.61	27
28.35	23



(4)
Sm2Tm2CI5: computed XRD peak list (Cu Kα, 1.54184 Å), based on DFT lattice parameters and positions (PBE).

Cell and atoms:
```
data_Sm2Tm2CI5
_chemical_formula_sum 'Sm4 Tm4 C2 I10'
_cell_length_a 19.720
_cell_length_b 3.993
_cell_length_c 8.708
_cell_angle_alpha 90.00
_cell_angle_beta 102.27
_cell_angle_gamma 90.00
_symmetry_space_group_name_H-M 'C 1 2/m 1'
_symmetry_Int_Tables_number 12
loop_
_symmetry_equiv_pos_as_xyz
'x,y,z'
'-x,-y,-z'
'-x,y,-z'
'x,-y,z'
'x+1/2,y+1/2,z'
'-x+1/2,-y+1/2,-z'
'-x+1/2,y+1/2,-z'
'x+1/2,-y+1/2,z'
loop_
_atom_site_label
_atom_site_fract_x
_atom_site_fract_y
_atom_site_fract_z
Sm1 0.000 0.000 0.194
Tm1 0.122 0.500 0.060
C1 0.000 0.500 0.000
I1 0.000 0.500 0.500
I2 0.163 0.000 0.326
I3 0.165 0.000 0.835
```

Peak list (8 most intense, 10° ≤ 2θ ≤ 90°, in order of falling intensity)
Position (°2θ)	I/Imax
30.37	100
10.40	40
27.78	35
41.49	35
32.28	24
41.75	20
29.43	19
45.43	18



(5)
Sm2Tm2CI5: computed XRD peak list (Cu Kα, 1.54184 Å), based on DFT lattice parameters and positions (PBE).

Cell and atoms:
```
data_Sm2Tm2CI5
_chemical_formula_sum 'Sm4 Tm4 C2 I10'
_cell_length_a 19.062
_cell_length_b 3.960
_cell_length_c 8.616
_cell_angle_alpha 90.00
_cell_angle_beta 102.81
_cell_angle_gamma 90.00
_symmetry_space_group_name_H-M 'C 1 2/m 1'
_symmetry_Int_Tables_number 12
loop_
_symmetry_equiv_pos_as_xyz
'x,y,z'
'-x,-y,-z'
'-x,y,-z'
'x,-y,z'
'x+1/2,y+1/2,z'
'-x+1/2,-y+1/2,-z'
'-x+1/2,y+1/2,-z'
'x+1/2,-y+1/2,z'
loop_
_atom_site_label
_atom_site_fract_x
_atom_site_fract_y
_atom_site_fract_z
Sm1 0.133 0.000 0.066
Tm1 0.000 0.500 0.185
C1 0.000 0.000 0.000
I1 0.000 0.000 0.500
I2 0.160 0.500 0.349
I3 0.165 0.500 0.810
```

Peak list (8 most intense, 10° ≤ 2θ ≤ 90°, in order of falling intensity)
Position (°2θ)	I/Imax
30.67	100
28.82	49
33.05	35
42.52	27
29.97	27
42.65	27
10.53	26
27.56	21



(6)
Lu3InC2: computed XRD peak list (Cu Kα, 1.54184 Å), based on DFT lattice parameters and positions (PBE).

Cell and atoms:
```
data_Lu3InC2
_chemical_formula_sum 'Lu6 In2 C4'
_cell_length_a 3.5000
_cell_length_b 3.5000
_cell_length_c 22.0399
_cell_angle_alpha 90.00
_cell_angle_beta 90.00
_cell_angle_gamma 120.00
_symmetry_space_group_name_H-M 'P 63/m m c'
_symmetry_Int_Tables_number 194
_symmetry_space_group_name_Hall '-P 6c 2c'
loop_
_atom_site_label
_atom_site_fract_x
_atom_site_fract_y
_atom_site_fract_z
Lu1 0.0000 0.0000 0.0000
Lu2 0.3333 0.6667 0.1215
In1 0.0000 0.0000 0.2500
C1 0.3333 0.6667 0.5693
```

Peak list (8 most intense, 10° ≤ 2θ ≤ 90°, in order of falling intensity)
Position (°2θ)	I/Imax
33.75	100
32.50	32
62.92	29
52.28	29
29.75	25
31.94	23
58.78	19
35.96	16



(7)
Lu4In2CN: computed XRD peak list (Cu Kα, 1.54184 Å), based on DFT lattice parameters and positions (PBE).

Cell and atoms:
```
data_Lu4In2CN
_chemical_formula_sum 'Lu4 In2 C1 N1'
_cell_length_a 3.4731
_cell_length_b 3.4731
_cell_length_c 15.6025
_cell_angle_alpha 90.00
_cell_angle_beta 90.00
_cell_angle_gamma 120.00
_symmetry_space_group_name_H-M 'P -3 m 1'
_symmetry_Int_Tables_number 164
_symmetry_space_group_name_Hall '-P 3 2"'
loop_
_atom_site_label
_atom_site_fract_x
_atom_site_fract_y
_atom_site_fract_z
Lu1 0.3333 0.6667 0.0836
Lu2 0.3333 0.6667 0.4171
In1 0.3333 0.6667 0.7476
C1 0.0000 0.0000 0.0000
N1 0.0000 0.0000 0.5000
```

Peak list (8 most intense, 10° ≤ 2θ ≤ 90°, in order of falling intensity)
Position (°2θ)	I/Imax
34.45	100
64.52	31
29.70	18
61.75	18
52.71	17
46.14	13
87.92	12
85.45	8



(8)
Lu3InCN: computed XRD peak list (Cu Kα, 1.54184 Å), based on DFT lattice parameters and positions (PBE).

Cell and atoms:
```
data_Lu3InCN
_chemical_formula_sum 'Lu6 In2 C2 N2'
_cell_length_a 3.4365
_cell_length_b 3.4365
_cell_length_c 21.4961
_cell_angle_alpha 90.00
_cell_angle_beta 90.00
_cell_angle_gamma 120.00
_symmetry_space_group_name_H-M 'P -3 m 1'
_symmetry_Int_Tables_number 164
_symmetry_space_group_name_Hall '-P 3 2"'
loop_
_atom_site_label
_atom_site_fract_x
_atom_site_fract_y
_atom_site_fract_z
Lu1 0.0000 0.0000 0.0000
Lu2 0.0000 0.0000 0.5000
Lu3 0.3333 0.6667 0.1229
Lu4 0.3333 0.6667 0.3730
In1 0.0000 0.0000 0.2448
C1 0.3333 0.6667 0.5707
N1 0.3333 0.6667 0.9346
```

Peak list (8 most intense, 10° ≤ 2θ ≤ 90°, in order of falling intensity)
Position (°2θ)	I/Imax
34.45	100
33.35	31
53.32	29
64.36	29
30.32	27
36.73	21
32.58	20
60.30	19



(9)
Lu2Nb4In3C3: computed XRD peak list (Cu Kα, 1.54184 Å), based on DFT lattice parameters and positions (PBE).

Cell and atoms:
```
data_Lu2Nb4In3C3
_chemical_formula_sum 'Lu8 Nb16 In12 C12'
_cell_length_a 9.974
_cell_length_b 5.754
_cell_length_c 14.931
_cell_angle_alpha 90.00
_cell_angle_beta 103.09
_cell_angle_gamma 90.00
_symmetry_space_group_name_H-M 'C 1 2/c 1'
_symmetry_Int_Tables_number 15
loop_
_symmetry_equiv_pos_as_xyz
'x,y,z'
'-x,-y,-z'
'-x,y,-z+1/2'
'x,-y,z+1/2'
'x+1/2,y+1/2,z'
'-x+1/2,-y+1/2,-z'
'-x+1/2,y+1/2,-z+1/2'
'x+1/2,-y+1/2,z+1/2'
loop_
_atom_site_label
_atom_site_fract_x
_atom_site_fract_y
_atom_site_fract_z
Lu1 0.045 0.079 0.401
Nb1 0.109 0.406 0.575
Nb2 0.230 0.422 0.925
In1 0.000 0.488 0.250
In2 0.204 0.120 0.753
C1 0.086 0.257 0.000
C2 0.250 0.250 0.500
```

Peak list (8 most intense, 10° ≤ 2θ ≤ 90°, in order of falling intensity)
Position (°2θ)	I/Imax
36.27	100
36.35	45
31.07	31
37.09	28
55.28	23
49.19	12
66.40	10
49.05	9



(10)
Lu2Sc4In3C3: computed XRD peak list (Cu Kα, 1.54184 Å), based on DFT lattice parameters and positions (PBE).

Cell and atoms:
```
data_Lu2Sc4In3C3
_chemical_formula_sum 'Lu8 Sc16 In12 C12'
_cell_length_a 10.220
_cell_length_b 5.903
_cell_length_c 15.869
_cell_angle_alpha 90.00
_cell_angle_beta 102.39
_cell_angle_gamma 90.00
_symmetry_space_group_name_H-M 'C 1 2/c 1'
_symmetry_Int_Tables_number 15
loop_
_symmetry_equiv_pos_as_xyz
'x,y,z'
'-x,-y,-z'
'-x,y,-z+1/2'
'x,-y,z+1/2'
'x+1/2,y+1/2,z'
'-x+1/2,-y+1/2,-z'
'-x+1/2,y+1/2,-z+1/2'
'x+1/2,-y+1/2,z+1/2'
loop_
_atom_site_label
_atom_site_fract_x
_atom_site_fract_y
_atom_site_fract_z
Lu1 0.053 0.082 0.412
Sc1 0.109 0.415 0.577
Sc2 0.225 0.418 0.923
In1 0.000 0.461 0.250
In2 0.190 0.109 0.750
C1 0.084 0.253 0.000
C2 0.250 0.250 0.500
```

Peak list (8 most intense, 10° ≤ 2θ ≤ 90°, in order of falling intensity)
Position (°2θ)	I/Imax
35.02	100
34.73	22
30.29	21
62.44	18
53.81	18
65.65	16
46.73	16
65.83	12



(11)
InMo3CN: computed XRD peak list (Cu Kα, 1.54184 Å), based on DFT lattice parameters and positions (PBE).

Cell and atoms:
```
data_InMo3CN
_chemical_formula_sum 'In2 Mo6 C2 N2'
_cell_length_a 3.1608
_cell_length_b 3.1608
_cell_length_c 18.6230
_cell_angle_alpha 90.00
_cell_angle_beta 90.00
_cell_angle_gamma 120.00
_symmetry_space_group_name_H-M 'P -3 m 1'
_symmetry_Int_Tables_number 164
_symmetry_space_group_name_Hall '-P 3 2"'
loop_
_atom_site_label
_atom_site_fract_x
_atom_site_fract_y
_atom_site_fract_z
In1 0.0000 0.0000 0.2470
Mo1 0.0000 0.0000 0.0000
Mo2 0.0000 0.0000 0.5000
Mo3 0.3333 0.6667 0.1194
Mo4 0.3333 0.6667 0.3748
C1 0.3333 0.6667 0.5695
N1 0.3333 0.6667 0.9352
```

Peak list (8 most intense, 10° ≤ 2θ ≤ 90°, in order of falling intensity)
Position (°2θ)	I/Imax
38.14	100
58.39	26
38.68	24
72.26	22
33.08	18
69.64	15
71.90	15
35.85	14



(12)
In2Mo8C3N3: computed XRD peak list (Cu Kα, 1.54184 Å), based on DFT lattice parameters and positions (PBE).

Cell and atoms:
```
data_In2Mo8C3N3
_chemical_formula_sum 'In2 Mo8 C3 N3'
_cell_length_a 3.2086
_cell_length_b 3.2086
_cell_length_c 23.1206
_cell_angle_alpha 90.00
_cell_angle_beta 90.00
_cell_angle_gamma 120.00
_symmetry_space_group_name_H-M 'P -3 m 1'
_symmetry_Int_Tables_number 164
_symmetry_space_group_name_Hall '-P 3 2"'
loop_
_atom_site_label
_atom_site_fract_x
_atom_site_fract_y
_atom_site_fract_z
In1 0.3333 0.6667 0.2526
Mo1 0.0000 0.0000 0.1499
Mo2 0.0000 0.0000 0.3584
Mo3 0.3333 0.6667 0.0557
Mo4 0.3333 0.6667 0.4449
C1 0.0000 0.0000 0.0000
C2 0.3333 0.6667 0.8910
N1 0.0000 0.0000 0.5000
N2 0.3333 0.6667 0.6091
```

Peak list (8 most intense, 10° ≤ 2θ ≤ 90°, in order of falling intensity)
Position (°2θ)	I/Imax
37.77	100
40.00	76
35.86	75
57.44	54
32.45	43
38.95	41
71.59	40
54.76	22



(13)
InMo4C2S: computed XRD peak list (Cu Kα, 1.54184 Å), based on DFT lattice parameters and positions (PBE).

Cell and atoms:
```
data_InMo4C2S
_chemical_formula_sum 'In1 Mo4 C2 S1'
_cell_length_a 3.1705
_cell_length_b 3.1705
_cell_length_c 12.8551
_cell_angle_alpha 90.00
_cell_angle_beta 90.00
_cell_angle_gamma 120.00
_symmetry_space_group_name_H-M 'P -6 m 2'
_symmetry_Int_Tables_number 187
_symmetry_space_group_name_Hall 'P -6 2'
loop_
_atom_site_label
_atom_site_fract_x
_atom_site_fract_y
_atom_site_fract_z
In1 0.0000 0.0000 0.0000
Mo1 0.0000 0.0000 0.3573
Mo2 0.3333 0.6667 0.1861
C1 0.6667 0.3333 0.2675
S1 0.3333 0.6667 0.5000
```

Peak list (8 most intense, 10° ≤ 2θ ≤ 90°, in order of falling intensity)
Position (°2θ)	I/Imax
38.96	100
32.61	28
58.20	24
35.55	16
72.26	15
67.54	12
74.45	12
42.18	11